(1)
The following is a calculated powder X-ray diffraction pattern of Ho2Sn3Pb3S12. It was derived from DFT lattice parameters and positions (PBE), using CuKα.

Principal peaks in the range 10° ≤ 2θ ≤ 80°, low angle first:
Position (°2θ)  d/Å  Rel. int.
17.5  5.061  19
23.2  3.840  20
26.2  3.404  29
26.4  3.374  44
27.3  3.269  100
32.5  2.752  54
32.7  2.741  27
38.2  2.356  26
46.1  1.969  35
46.8  1.939  18

a b c (Å): 3.9397 20.4248 11.6524
angles (deg): 90.00 90.00 90.00
Fractional positions:
Ho  0.0000  0.0879  0.0000
Ho  0.0000  0.3934  0.3211
Ho  0.0000  0.6066  0.8211
Ho  0.0000  0.9121  0.5000
Sn  0.5000  0.0717  0.6518
Sn  0.5000  0.2501  0.1443
Sn  0.5000  0.4113  0.6284
Sn  0.5000  0.5887  0.1284
Sn  0.5000  0.7499  0.6443
Sn  0.5000  0.9283  0.1518
Pb  0.0000  0.1212  0.3736
Pb  0.0000  0.2397  0.7417
Pb  0.0000  0.4156  0.9436
Pb  0.0000  0.5844  0.4436
Pb  0.0000  0.7603  0.2417
Pb  0.0000  0.8788  0.8736
S  0.0000  0.0039  0.7044
S  0.0000  0.2387  0.9995
S  0.0000  0.2568  0.2960
S  0.0000  0.3414  0.5451
S  0.0000  0.4823  0.7123
S  0.0000  0.5177  0.2123
S  0.0000  0.6586  0.0451
S  0.0000  0.7432  0.7960
S  0.0000  0.7613  0.4995
S  0.0000  0.9961  0.2044
S  0.5000  0.0086  0.4615
S  0.5000  0.1263  0.1621
S  0.5000  0.1373  0.8410
S  0.5000  0.1754  0.5461
S  0.5000  0.3417  0.8093
S  0.5000  0.3754  0.1564
S  0.5000  0.4679  0.4330
S  0.5000  0.5321  0.9330
S  0.5000  0.6246  0.6564
S  0.5000  0.6583  0.3093
S  0.5000  0.8246  0.0461
S  0.5000  0.8627  0.3410
S  0.5000  0.8737  0.6621
S  0.5000  0.9914  0.9615

(2)
The following is a calculated powder X-ray diffraction pattern of Ho3Pd4. It was derived from DFT lattice parameters and positions (PBE), using CuKα.

Principal peaks in the range 10° ≤ 2θ ≤ 80°, low angle first:
Position (°2θ)  d/Å  Rel. int.
32.3  2.773  48
35.1  2.558  16
36.0  2.493  100
37.7  2.385  86
42.6  2.124  16
47.0  1.932  16
51.2  1.785  14
53.1  1.724  17
65.9  1.417  21
72.6  1.302  11

a b c (Å): 7.8508 7.8508 7.8508
angles (deg): 114.29 114.29 114.29
Fractional positions:
Ho  0.0253  0.4040  0.2777
Ho  0.2777  0.0253  0.4040
Ho  0.4040  0.2777  0.0253
Ho  0.5960  0.7223  0.9747
Ho  0.7223  0.9747  0.5960
Ho  0.9747  0.5960  0.7223
Pd  0.0000  0.0000  0.0000
Pd  0.0625  0.2269  0.5517
Pd  0.2269  0.5517  0.0625
Pd  0.4483  0.9375  0.7731
Pd  0.5000  0.5000  0.5000
Pd  0.5517  0.0625  0.2269
Pd  0.7731  0.4483  0.9375
Pd  0.9375  0.7731  0.4483

(3)
The following is a calculated powder X-ray diffraction pattern of Ho3Pd2. It was derived from DFT lattice parameters and positions (PBE), using CuKα.

Principal peaks in the range 10° ≤ 2θ ≤ 80°, low angle first:
Position (°2θ)  d/Å  Rel. int.
27.9  3.203  12
32.4  2.767  31
32.6  2.747  10
34.4  2.607  100
36.6  2.457  51
46.0  1.971  17
53.9  1.700  12
60.2  1.537  24
69.4  1.355  15
77.7  1.229  10

a b c (Å): 7.7695 7.7695 3.9421
angles (deg): 90.00 90.00 90.00
Fractional positions:
Ho  0.0000  0.0000  0.0000
Ho  0.1644  0.3356  0.5000
Ho  0.3356  0.8356  0.5000
Ho  0.5000  0.5000  0.0000
Ho  0.6644  0.1644  0.5000
Ho  0.8356  0.6644  0.5000
Pd  0.1333  0.6333  0.0000
Pd  0.3667  0.1333  0.0000
Pd  0.6333  0.8667  0.0000
Pd  0.8667  0.3667  0.0000

(4)
The following is a calculated powder X-ray diffraction pattern of HoPd3. It was derived from DFT lattice parameters and positions (PBE), using CuKα.

Principal peaks in the range 10° ≤ 2θ ≤ 80°, low angle first:
Position (°2θ)  d/Å  Rel. int.
21.6  4.115  4
30.7  2.910  3
37.9  2.376  100
44.0  2.058  49
49.5  1.840  2
54.6  1.680  1
64.0  1.455  32
68.4  1.372  1
72.7  1.301  1
76.8  1.241  37

a b c (Å): 4.1155 4.1155 4.1155
angles (deg): 90.00 90.00 90.00
Fractional positions:
Ho  0.0000  0.0000  0.0000
Pd  0.0000  0.5000  0.5000
Pd  0.5000  0.0000  0.5000
Pd  0.5000  0.5000  0.0000

(5)
The following is a calculated powder X-ray diffraction pattern of HoPd. It was derived from DFT lattice parameters and positions (PBE), using CuKα.

Principal peaks in the range 10° ≤ 2θ ≤ 80°, low angle first:
Position (°2θ)  d/Å  Rel. int.
28.2  3.162  43
32.3  2.768  88
34.9  2.568  62
36.3  2.476  100
38.8  2.323  59
40.1  2.248  77
42.6  2.122  24
53.2  1.723  38
55.9  1.645  23
70.1  1.343  23

a b c (Å): 6.8932 4.6469 5.5350
angles (deg): 90.00 90.00 90.00
Fractional positions:
Ho  0.1829  0.2500  0.1432
Ho  0.3171  0.7500  0.6432
Ho  0.6829  0.2500  0.3568
Ho  0.8171  0.7500  0.8568
Pd  0.0418  0.2500  0.6527
Pd  0.4582  0.7500  0.1527
Pd  0.5418  0.2500  0.8473
Pd  0.9582  0.7500  0.3473

(6)
The following is a calculated powder X-ray diffraction pattern of HoPd. It was derived from DFT lattice parameters and positions (PBE), using CuKα.

Principal peaks in the range 10° ≤ 2θ ≤ 80°, low angle first:
Position (°2θ)  d/Å  Rel. int.
25.5  3.497  5
36.3  2.473  100
44.9  2.019  2
52.3  1.748  18
59.1  1.564  2
65.4  1.428  36
77.2  1.236  11

a b c (Å): 3.4969 3.4969 3.4969
angles (deg): 90.00 90.00 90.00
Fractional positions:
Ho  0.0000  0.0000  0.0000
Pd  0.5000  0.5000  0.5000

(7)
The following is a calculated powder X-ray diffraction pattern of Ho2PdRh. It was derived from DFT lattice parameters and positions (PBE), using CuKα.

Principal peaks in the range 10° ≤ 2θ ≤ 80°, low angle first:
Position (°2θ)  d/Å  Rel. int.
25.8  3.451  5
36.8  2.440  100
45.5  1.992  2
53.1  1.725  17
59.9  1.543  2
66.3  1.409  35
78.4  1.220  11

a b c (Å): 4.8804 4.8804 4.8804
angles (deg): 60.00 60.00 60.00
Fractional positions:
Ho  0.2500  0.2500  0.2500
Ho  0.7500  0.7500  0.7500
Pd  0.0000  0.0000  0.0000
Rh  0.5000  0.5000  0.5000

(8)
The following is a calculated powder X-ray diffraction pattern of Ho2PdRu. It was derived from DFT lattice parameters and positions (PBE), using CuKα.

Principal peaks in the range 10° ≤ 2θ ≤ 80°, low angle first:
Position (°2θ)  d/Å  Rel. int.
25.9  3.439  5
37.0  2.432  100
45.7  1.986  2
53.3  1.720  17
60.2  1.538  2
66.6  1.404  35
78.7  1.216  11

a b c (Å): 4.8638 4.8638 4.8638
angles (deg): 60.00 60.00 60.00
Fractional positions:
Ho  0.2500  0.2500  0.2500
Ho  0.7500  0.7500  0.7500
Pd  0.0000  0.0000  0.0000
Ru  0.5000  0.5000  0.5000

> Number 1 is which compound?

Ho2Sn3Pb3S12